This entry pairs a crystal structure of Ga2AgI4Br4 with its theoretical XRD peak list. Radiation: Cu Kα. Structure: the PBE geometry in OQMD.
Intensities are scaled so that the largest is 100.

Structural model:
```
data_Ga2AgI4Br4
_cell_length_a 13.702
_cell_length_b 8.999
_cell_length_c 7.707
_cell_angle_alpha 90.00
_cell_angle_beta 93.83
_cell_angle_gamma 90.00
_symmetry_space_group_name_H-M 'C 1 2/m 1'
_symmetry_Int_Tables_number 12
loop_
_symmetry_equiv_pos_as_xyz
'x,y,z'
'-x,-y,-z'
'-x,y,-z'
'x,-y,z'
'x+1/2,y+1/2,z'
'-x+1/2,-y+1/2,-z'
'-x+1/2,y+1/2,-z'
'x+1/2,-y+1/2,z'
loop_
_atom_site_label
_atom_site_type_symbol
_atom_site_fract_x
_atom_site_fract_y
_atom_site_fract_z
_atom_site_occupancy
Ga1 Ga 0.214 0.000 0.335 1
Ag1 Ag 0.000 0.000 0.000 1
I1 I 0.122 0.218 0.163 1
Br1 Br 0.119 0.500 0.697 1
Br2 Br 0.176 0.000 0.625 1
```

Peak list (6 most intense, 2θ from 10° to 90°, by angle)
| d (Å) | I_rel | index |
| --- | --- | --- |
| 5.477 | 46 | 1 1 -1 |
| 5.287 | 56 | 2 0 -1 |
| 3.451 | 49 | 2 0 -2 |
| 3.422 | 40 | 4 0 0 |
| 3.329 | 100 | 2 2 1 |
| 2.227 | 48 | 0 2 3 |


This entry pairs a crystal structure of Al9Re4 with its theoretical XRD peak list. Radiation: Cu Kα. Structure: the PBE geometry in OQMD.
Intensities are scaled so that the largest is 100.

Structural model:
```
data_Al9Re4
_cell_length_a 4.9941
_cell_length_b 4.9941
_cell_length_c 27.2539
_cell_angle_alpha 90.00
_cell_angle_beta 90.00
_cell_angle_gamma 120.00
_symmetry_space_group_name_H-M 'R -3 m'
_symmetry_Int_Tables_number 166
_symmetry_space_group_name_Hall '-R 3 2"'
loop_
_atom_site_label
_atom_site_type_symbol
_atom_site_fract_x
_atom_site_fract_y
_atom_site_fract_z
_atom_site_occupancy
Al1 Al 0.0000 0.0000 0.0000 1
Al2 Al 0.0000 0.0000 0.3524 1
Al3 Al 0.0005 0.5002 0.4165 1
Re1 Re 0.0000 0.0000 0.1663 1
Re2 Re 0.0000 0.0000 0.4531 1
```

Peak list (6 most intense, 2θ from 10° to 90°, by angle)
| d (Å) | I_rel | index |
| --- | --- | --- |
| 2.676 | 27 | 0 1 8 |
| 2.497 | 100 | 1 1 0 |
| 2.408 | 85 | 1 1 3 |
| 2.306 | 51 | 1 0 10 |
| 2.188 | 41 | 1 1 6 |
| 2.150 | 48 | 0 1 11 |


This entry pairs a crystal structure of Ag2P2H2O7 with its theoretical XRD peak list. Radiation: Cu Kα. Structure: the PBE geometry in OQMD.
Intensities are scaled so that the largest is 100.

Structural model:
```
data_Ag2P2H2O7
_cell_length_a 6.985
_cell_length_b 12.305
_cell_length_c 27.665
_cell_angle_alpha 90.00
_cell_angle_beta 90.00
_cell_angle_gamma 90.00
_symmetry_space_group_name_H-M 'F d d d'
_symmetry_Int_Tables_number 70
loop_
_symmetry_equiv_pos_as_xyz
'x,y,z'
'-x,-y,-z'
'-x+1/4,-y+1/4,z'
'x+1/4,y+1/4,-z'
'x,-y+1/4,-z+1/4'
'-x,y+1/4,z+1/4'
'-x+1/4,y,-z+1/4'
'x+1/4,-y,z+1/4'
'x,y+1/2,z+1/2'
'-x,-y+1/2,-z+1/2'
'-x+1/4,-y+3/4,z+1/2'
'x+1/4,y+3/4,-z+1/2'
'x,-y+3/4,-z+3/4'
'-x,y+3/4,z+3/4'
'-x+1/4,y+1/2,-z+3/4'
'x+1/4,-y+1/2,z+3/4'
'x+1/2,y,z+1/2'
'-x+1/2,-y,-z+1/2'
'-x+3/4,-y+1/4,z+1/2'
'x+3/4,y+1/4,-z+1/2'
'x+1/2,-y+1/4,-z+3/4'
'-x+1/2,y+1/4,z+3/4'
'-x+3/4,y,-z+3/4'
'x+3/4,-y,z+3/4'
'x+1/2,y+1/2,z'
'-x+1/2,-y+1/2,-z'
'-x+3/4,-y+3/4,z'
'x+3/4,y+3/4,-z'
'x+1/2,-y+3/4,-z+1/4'
'-x+1/2,y+3/4,z+1/4'
'-x+3/4,y+1/2,-z+1/4'
'x+3/4,-y+1/2,z+1/4'
loop_
_atom_site_label
_atom_site_type_symbol
_atom_site_fract_x
_atom_site_fract_y
_atom_site_fract_z
_atom_site_occupancy
Ag1 Ag 0.025 0.267 0.425 1
P1 P 0.033 0.019 0.303 1
H1 H 0.125 0.125 0.510 1
H2 H 0.125 0.305 0.625 1
O1 O 0.028 0.045 0.742 1
O2 O 0.070 0.286 0.335 1
O3 O 0.105 0.306 0.668 1
O4 O 0.125 0.125 0.278 1
```

Peak list (6 most intense, 2θ from 10° to 90°, by angle)
| d (Å) | I_rel | index |
| --- | --- | --- |
| 5.073 | 40 | 1 1 3 |
| 3.458 | 61 | 0 0 8 |
| 3.076 | 69 | 0 4 0 |
| 2.967 | 100 | 2 2 2 |
| 2.743 | 38 | 1 1 9 |
| 2.536 | 58 | 2 2 6 |


This entry pairs a crystal structure of InCo7 with its theoretical XRD peak list. Radiation: Cu Kα. Structure: the PBE geometry in OQMD.
Intensities are scaled so that the largest is 100.

Structural model:
```
data_InCo7
_cell_length_a 2.580
_cell_length_b 3.407
_cell_length_c 32.533
_cell_angle_alpha 90.00
_cell_angle_beta 90.00
_cell_angle_gamma 90.00
_symmetry_space_group_name_H-M 'P m m n'
_symmetry_Int_Tables_number 59
loop_
_symmetry_equiv_pos_as_xyz
'x,y,z'
'-x,-y,-z'
'-x+1/2,-y+1/2,z'
'x+1/2,y+1/2,-z'
'x+1/2,-y,-z'
'-x+1/2,y,z'
'-x,y+1/2,-z'
'x,-y+1/2,z'
loop_
_atom_site_label
_atom_site_type_symbol
_atom_site_fract_x
_atom_site_fract_y
_atom_site_fract_z
_atom_site_occupancy
In1 In 0.250 0.250 0.197 1
Co1 Co 0.250 0.250 0.289 1
Co2 Co 0.250 0.250 0.366 1
Co3 Co 0.250 0.250 0.443 1
Co4 Co 0.250 0.250 0.519 1
Co5 Co 0.250 0.250 0.596 1
Co6 Co 0.250 0.250 0.672 1
Co7 Co 0.250 0.250 0.747 1
```

Peak list (6 most intense, 2θ from 10° to 90°, by angle)
| d (Å) | I_rel | index |
| --- | --- | --- |
| 2.121 | 29 | 0 1 12 |
| 2.056 | 100 | 1 1 0 |
| 2.017 | 53 | 0 1 13 |
| 1.869 | 19 | 1 0 12 |
| 1.796 | 36 | 1 0 13 |
| 1.703 | 26 | 0 2 0 |